# 1
Structure and calculated XRD peak list of Ca2Cu15Ag2 (a cell relaxed with GGA-PBE; Cu Kα, 1.54184 Å).
Lines closer than 0.1° are merged.

Most intense lines, 5° ≤ 2θ ≤ 70°, in order of falling intensity:
2theta	I/Imax	(hkl)
46.8	100	2 2 3
41.7	69	0 3 3
41.3	63	2 2 0
13.6	48	1 0 1
35.6	38	3 0 0
47.9	32	1 1 6
37.1	30	0 2 4
42.9	28	0 0 6
43.0	21	2 0 5
42.6	16	2 1 4

Atomic structure:
```
data_Ca2Cu15Ag2
_space_group_name_H-M_alt 'R -3 m'
_space_group_IT_number 166
_space_group_name_Hall '-R 3 2"'
_cell_length_a 8.7365
_cell_length_b 8.7365
_cell_length_c 12.6470
_cell_angle_alpha 90.00
_cell_angle_beta 90.00
_cell_angle_gamma 120.00
loop_
_atom_site_label
_atom_site_fract_x
_atom_site_fract_y
_atom_site_fract_z
Ca1 0.0000 0.0000 0.1538
Cu1 0.0000 0.3009 0.5000
Cu2 0.0000 0.5000 0.0000
Cu3 0.0032 0.5016 0.6551
Ag1 0.0000 0.0000 0.3951
```

=====

# 2
Structure and calculated XRD peak list of CsLi3Ca4I12 (a cell relaxed with GGA-PBE; Cu Kα, 1.54184 Å).
Lines closer than 0.1° are merged.

Most intense lines, 5° ≤ 2θ ≤ 70°, in order of falling intensity:
2theta	I/Imax	(hkl)
24.1	100	3 0 1
28.6	69	3 1 2
45.3	38	5 3 0
48.1	27	5 2 3
37.8	22	4 2 2
68.2	20	6 6 0
53.2	19	6 1 3
67.1	17	6 5 3
46.7	14	6 0 0
26.5	13	2 2 2

Atomic structure:
```
data_CsLi3Ca4I12
_space_group_name_H-M_alt 'I m -3'
_space_group_IT_number 204
_space_group_name_Hall '-I 2 2 3'
_cell_length_a 11.669
_cell_length_b 11.669
_cell_length_c 11.669
_cell_angle_alpha 90.00
_cell_angle_beta 90.00
_cell_angle_gamma 90.00
loop_
_atom_site_label
_atom_site_fract_x
_atom_site_fract_y
_atom_site_fract_z
Cs1 0.000 0.000 0.000
Li1 0.000 0.000 0.500
Ca1 0.250 0.250 0.250
I1 0.000 0.317 0.174
```

=====

# 3
Structure and calculated XRD peak list of NaPt8 (a cell relaxed with GGA-PBE; Cu Kα, 1.54184 Å).
Lines closer than 0.1° are merged.

Most intense lines, 5° ≤ 2θ ≤ 70°, in order of falling intensity:
2theta	I/Imax	(hkl)
39.3	100	3 0 1
45.7	49	3 3 0
66.6	32	6 0 0
14.9	5	1 1 0
32.7	4	2 1 1
24.8	4	1 0 1
21.1	3	2 0 0
33.6	2	3 1 0
45.0	2	3 2 1
30.0	2	2 2 0

Atomic structure:
```
data_NaPt8
_space_group_name_H-M_alt 'I 4/m m m'
_space_group_IT_number 139
_space_group_name_Hall '-I 4 2'
_cell_length_a 8.425
_cell_length_b 8.425
_cell_length_c 3.976
_cell_angle_alpha 90.00
_cell_angle_beta 90.00
_cell_angle_gamma 90.00
loop_
_atom_site_label
_atom_site_fract_x
_atom_site_fract_y
_atom_site_fract_z
Na1 0.000 0.000 0.000
Pt1 0.000 0.331 0.000
Pt2 0.166 0.166 0.500
```

=====

# 4
Structure and calculated XRD peak list of PmY9Ho2 (a cell relaxed with GGA-PBE; Cu Kα, 1.54184 Å).
Lines closer than 0.1° are merged.

Most intense lines, 5° ≤ 2θ ≤ 70°, in order of falling intensity:
2theta	I/Imax	(hkl)
30.7	100	1 1 3
35.6	50	2 0 0
60.8	41	3 1 3
51.2	35	2 2 0
63.8	12	2 2 6
17.6	6	1 0 0
24.9	6	1 1 0
39.9	4	2 1 0
43.9	3	1 1 6
54.5	2	0 0 9

Atomic structure:
```
data_PmY9Ho2
_space_group_name_H-M_alt 'P 4/m m m'
_space_group_IT_number 123
_space_group_name_Hall '-P 4 2'
_cell_length_a 5.051
_cell_length_b 5.051
_cell_length_c 15.151
_cell_angle_alpha 90.00
_cell_angle_beta 90.00
_cell_angle_gamma 90.00
loop_
_atom_site_label
_atom_site_fract_x
_atom_site_fract_y
_atom_site_fract_z
Pm1 0.000 0.000 0.000
Y1 0.000 0.500 0.168
Y2 0.000 0.500 0.500
Y3 0.500 0.500 0.000
Y4 0.500 0.500 0.335
Ho1 0.000 0.000 0.334
```

=====

# 5
Structure and calculated XRD peak list of K2MnSnS4 (a cell relaxed with GGA-PBE; Cu Kα, 1.54184 Å).
Lines closer than 0.1° are merged.

Most intense lines, 5° ≤ 2θ ≤ 70°, in order of falling intensity:
2theta	I/Imax	(hkl)
31.1	100	2 2 0
45.0	62	2 2 4
13.3	53	0 1 1
31.6	46	0 0 4
26.8	18	0 2 2
27.2	17	2 0 2
44.0	17	0 4 0
45.1	16	4 0 0
55.2	15	0 4 4
56.1	15	4 0 4

Atomic structure:
```
data_K2MnSnS4
_space_group_name_H-M_alt 'I m m a'
_space_group_IT_number 74
_space_group_name_Hall '-I 2b 2'
_cell_length_a 8.043
_cell_length_b 8.223
_cell_length_c 11.311
_cell_angle_alpha 90.00
_cell_angle_beta 90.00
_cell_angle_gamma 90.00
loop_
_atom_site_label
_atom_site_fract_x
_atom_site_fract_y
_atom_site_fract_z
K1 0.000 0.000 0.000
K2 0.250 0.250 0.250
Mn1 0.000 0.000 0.500
Sn1 0.250 0.250 0.750
S1 0.000 0.033 0.733
S2 0.216 0.250 0.523
```

=====

# 6
Structure and calculated XRD peak list of Nd3BC4 (a cell relaxed with GGA-PBE; Cu Kα, 1.54184 Å).
Lines closer than 0.1° are merged.

Most intense lines, 5° ≤ 2θ ≤ 70°, in order of falling intensity:
2theta	I/Imax	(hkl)
33.2	100	1 1 2
28.9	96	0 1 3
41.0	61	1 0 5
23.1	49	1 0 1
41.3	37	0 2 0
54.3	34	2 1 3
59.6	22	1 2 5
47.8	22	1 2 1
62.7	22	2 2 0
65.0	21	1 1 8

Atomic structure:
```
data_Nd3BC4
_space_group_name_H-M_alt 'I m m m'
_space_group_IT_number 71
_space_group_name_Hall '-I 2 2'
_cell_length_a 4.030
_cell_length_b 4.373
_cell_length_c 13.120
_cell_angle_alpha 90.00
_cell_angle_beta 90.00
_cell_angle_gamma 90.00
loop_
_atom_site_label
_atom_site_fract_x
_atom_site_fract_y
_atom_site_fract_z
Nd1 0.000 0.000 0.000
Nd2 0.000 0.500 0.183
B1 0.000 0.000 0.500
C1 0.000 0.338 0.385
```